This entry pairs a crystal structure of SmCr4Cu3O12 with its computed XRD peak list. Radiation: Cu Kα (weighted mean of Kα1 and Kα2). Structure: the GGA+U geometry in Alexandria.
Intensities are scaled so that the largest is 100.

Crystal structure
Cell: 7.4167 7.4167 7.4167 Å, 90.00 90.00 90.00°
Space group Im-3 (No. 204)
Symmetry-distinct sites (fractional):
Sm1 0.0000 0.0000 0.0000 [2 per cell]
Cr1 0.2500 0.2500 0.2500 [8 per cell]
Cu1 0.0000 0.0000 0.5000 [6 per cell]
O1 0.0000 0.1671 0.3082 [24 per cell]

Peak list (10 most intense, 2θ from 10° to 90°, sorted by position)
| h k l | 2θ/deg | I_rel |
| --- | --- | --- |
| 1 1 0 | 16.91 | 13 |
| 2 0 0 | 24.00 | 7 |
| 2 2 0 | 34.19 | 100 |
| 3 1 0 | 38.38 | 10 |
| 2 2 2 | 42.21 | 7 |
| 3 2 1 | 45.77 | 10 |
| 4 0 0 | 49.14 | 24 |
| 4 2 2 | 61.22 | 47 |
| 4 4 0 | 72.03 | 11 |
| 6 0 2 | 82.20 | 16 |